Theoretical XRD peak list
Compound: Tb7Nd3Tm2
Radiation: Cu Ka
Structure: a PBE-relaxed structure
Kinematic intensities with the Lorentz-polarization factor, no thermal factor.

Largest 6 diffraction maxima, in order of rising 2θ, 5 to 70 degrees two-theta:
d (Å)	I (rel.)
2.923	57
2.911	36
2.876	100
2.828	49
2.706	46
2.591	41

Cell and atoms:
abc: 5.8523 3.5719 18.8415
angles: 90.00 93.04 90.00
Space group P2/m (No. 10)
One atom of each set of equivalent atoms:
Tb 0.0000 0.0000 0.0000 [1 per cell]
Tb 0.1929 0.5000 0.1780 [2 per cell]
Tb 0.2569 0.5000 0.5368 [2 per cell]
Tb 0.3093 0.0000 0.8554 [2 per cell]
Nd 0.2218 0.0000 0.3660 [2 per cell]
Nd 0.5000 0.5000 0.0000 [1 per cell]
Tm 0.2883 0.5000 0.7066 [2 per cell]

Theoretical XRD peak list
Compound: Ac4Tb5Y2
Radiation: Cu Ka
Structure: a PBE-relaxed structure
Kinematic intensities with the Lorentz-polarization factor, no thermal factor.

Largest 6 diffraction maxima, in order of rising 2θ, 5 to 70 degrees two-theta:
d (Å)	I (rel.)
3.044	100
3.032	99
2.659	36
2.648	34
2.588	32
1.855	37

Cell and atoms:
abc: 18.9136 5.3176 8.2164
angles: 90.00 104.06 90.00
Space group C2/m (No. 12)
One atom of each set of equivalent atoms:
Ac 0.0428 0.0000 0.2316 [4 per cell]
Ac 0.1819 0.5000 0.4109 [4 per cell]
Tb 0.0000 0.5000 0.5000 [2 per cell]
Tb 0.1400 0.0000 0.6932 [4 per cell]
Tb 0.2261 0.0000 0.1248 [4 per cell]
Y 0.0933 0.5000 0.9488 [4 per cell]

Theoretical XRD peak list
Compound: Pr4PdRh
Radiation: Cu Ka
Structure: a PBE-relaxed structure
Kinematic intensities with the Lorentz-polarization factor, no thermal factor.

Largest 6 diffraction maxima, in order of rising 2θ, 5 to 70 degrees two-theta:
d (Å)	I (rel.)
2.881	100
2.758	29
2.422	65
2.266	33
1.809	26
1.680	32

Cell and atoms:
abc: 7.1667 7.1667 6.5734
angles: 90.00 90.00 90.00
Space group P4/mcc (No. 124)
One atom of each set of equivalent atoms:
Pr 0.1752 0.3156 0.0000 [8 per cell]
Pd 0.5000 0.5000 0.2500 [2 per cell]
Rh 0.0000 0.0000 0.2500 [2 per cell]